For Nb5Te4, the GGA-PBE geometry in the Materials Project gives the calculated powder X-ray diffraction pattern in this record (Cu Kα).
Kinematic intensities with the Lorentz-polarization factor, no thermal factor.

Principal peaks in the range 2θ = 10–80°, in order of falling intensity:
d (Å)	I (rel.)	hkl
2.531	100	3 0 1
2.894	61	1 2 1
2.334	58	2 4 0
2.087	54	4 1 1
1.447	28	2 4 2
1.336	26	2 7 1
1.845	22	0 0 2
2.460	22	3 3 0
1.476	20	7 1 0
3.690	20	2 2 0

Crystal structure
Cell lengths 10.4363, 10.4363, 3.6896 Å; angles 90.00, 90.00, 90.00 degrees
Space group I4/m (No. 87)
Inequivalent atoms, fractional coordinates:
Nb: 0.0000 0.0000 0.0000
Nb: 0.1199 0.1888 0.5000
Te: 0.0605 0.7150 0.0000